Record 1
For CaMgSi2O6, a cell relaxed with GGA-PBE gives the simulated XRD peak list in this record (a wavelength of 1.5418 Å).
Intensities are scaled so that the largest is 100.

The 12 most intense peaks (10 to 90 degrees two-theta), by angle:
(2 1 -1), 2θ = 26.52°, I 100; (2 2 0), 2θ = 27.95°, I 67; (1 2 -1), 2θ = 28.40°, I 77; (2 2 -1), 2θ = 32.47°, I 61; (2 2 1), 2θ = 32.69°, I 51; (3 1 1), 2θ = 33.76°, I 37; (1 0 2), 2θ = 34.50°, I 76; (0 3 1), 2θ = 36.27°, I 29; (3 0 -2), 2θ = 43.02°, I 34; (3 3 -1), 2θ = 45.70°, I 33; (4 3 -1), 2θ = 52.13°, I 32; (5 3 1), 2θ = 60.02°, I 35

Crystal structure
```
data_CaMgSi2O6
_symmetry_space_group_name_H-M 'P 1 21/c 1'
_symmetry_Int_Tables_number 14
_cell_length_a 9.8896
_cell_length_b 8.3587
_cell_length_c 5.4061
_cell_angle_alpha 90.00
_cell_angle_beta 90.68
_cell_angle_gamma 90.00
loop_
_symmetry_equiv_pos_as_xyz
'x,y,z'
'-x,-y,-z'
'-x,y+1/2,-z+1/2'
'x,-y+1/2,z+1/2'
loop_
_atom_site_label
_atom_site_fract_x
_atom_site_fract_y
_atom_site_fract_z
Ca1 0.2296 0.0524 0.3977
Mg1 0.2680 0.6660 0.3772
Si1 0.0032 0.6704 0.5339
Si2 0.4625 0.1532 0.7711
O1 0.0828 0.2294 0.7060
O2 0.1135 0.5094 0.5265
O3 0.1326 0.6920 0.0572
O4 0.3739 0.6473 0.7164
O5 0.3798 0.5067 0.2158
O6 0.4037 0.2293 0.0379
```



Record 2
For BaYMgTiCuO5, a cell relaxed with GGA-PBE gives the simulated XRD peak list in this record (a wavelength of 1.5418 Å).
Intensities are scaled so that the largest is 100.

The 12 most intense peaks (10 to 90 degrees two-theta), by angle:
(1 0 0), 2θ = 22.56°, I 24; (0 0 3), 2θ = 28.34°, I 33; (1 0 2), 2θ = 29.52°, I 100; (1 1 0), 2θ = 32.12°, I 75; (1 0 3), 2θ = 36.52°, I 64; (1 1 3), 2θ = 43.35°, I 43; (2 0 0), 2θ = 46.06°, I 53; (1 0 5), 2θ = 53.80°, I 18; (2 0 3), 2θ = 54.96°, I 19; (2 1 2), 2θ = 55.66°, I 32; (2 1 3), 2θ = 60.16°, I 29; (2 2 0), 2θ = 67.18°, I 15

Crystal structure
```
data_BaYMgTiCuO5
_symmetry_space_group_name_H-M 'P 4 m m'
_symmetry_Int_Tables_number 99
_cell_length_a 3.9412
_cell_length_b 3.9412
_cell_length_c 9.4487
_cell_angle_alpha 90.00
_cell_angle_beta 90.00
_cell_angle_gamma 90.00
loop_
_symmetry_equiv_pos_as_xyz
'x,y,z'
'-y,x,z'
'-x,-y,z'
'y,-x,z'
'-x,y,z'
'y,x,z'
'x,-y,z'
'-y,-x,z'
loop_
_atom_site_label
_atom_site_fract_x
_atom_site_fract_y
_atom_site_fract_z
Ba1 0.0000 0.0000 0.0000
Y1 0.0000 0.0000 0.3626
Mg1 0.0000 0.0000 0.6558
Ti1 0.5000 0.5000 0.6885
Cu1 0.5000 0.5000 0.2317
O1 0.0000 0.5000 0.2384
O2 0.0000 0.5000 0.5785
O3 0.5000 0.5000 0.8840
```



Record 3
For MgBi2O4, a cell relaxed with GGA-PBE gives the simulated XRD peak list in this record (a wavelength of 1.5418 Å).
Intensities are scaled so that the largest is 100.

The 12 most intense peaks (10 to 90 degrees two-theta), by angle:
(0 2 0), 2θ = 15.67°, I 100; (0 0 2), 2θ = 29.28°, I 27; (2 0 1), 2θ = 29.95°, I 50; (1 3 1), 2θ = 30.79°, I 15; (0 4 0), 2θ = 31.64°, I 11; (0 2 2), 2θ = 33.38°, I 35; (2 2 1), 2θ = 33.97°, I 71; (0 4 2), 2θ = 43.64°, I 15; (2 4 1), 2θ = 44.12°, I 28; (2 0 3), 2θ = 52.34°, I 16; (2 2 3), 2θ = 54.99°, I 17; (4 2 2), 2θ = 64.61°, I 11

Crystal structure
```
data_MgBi2O4
_symmetry_space_group_name_H-M 'P m m n'
_symmetry_Int_Tables_number 59
_cell_length_a 6.8414
_cell_length_b 11.3131
_cell_length_c 6.1002
_cell_angle_alpha 90.00
_cell_angle_beta 90.00
_cell_angle_gamma 90.00
loop_
_symmetry_equiv_pos_as_xyz
'x,y,z'
'-x,-y,-z'
'-x+1/2,-y+1/2,z'
'x+1/2,y+1/2,-z'
'x+1/2,-y,-z'
'-x+1/2,y,z'
'-x,y+1/2,-z'
'x,-y+1/2,z'
loop_
_atom_site_label
_atom_site_fract_x
_atom_site_fract_y
_atom_site_fract_z
Mg1 0.2500 0.2500 0.0345
Mg2 0.2500 0.7500 0.3600
Bi1 0.0000 0.0000 0.5000
Bi2 0.2500 0.5410 0.9939
O1 0.0127 0.6289 0.1776
O2 0.2500 0.1038 0.2506
O3 0.2500 0.6253 0.5979
```